Simulated X-ray powder pattern of LiFeNi for CuKα, from the GGA-PBE geometry in Alexandria.
Neutral-atom scattering factors, no anomalous dispersion.

Structural model:
```
data_LiFeNi
_space_group_name_H-M_alt 'I 4/m m m'
_space_group_IT_number 139
_space_group_name_Hall '-I 4 2'
_cell_length_a 2.555
_cell_length_b 2.555
_cell_length_c 23.343
_cell_angle_alpha 90.00
_cell_angle_beta 90.00
_cell_angle_gamma 90.00
loop_
_atom_site_label
_atom_site_type_symbol
_atom_site_fract_x
_atom_site_fract_y
_atom_site_fract_z
Li1 Li 0.000 0.000 0.059
Fe1 Fe 0.000 0.000 0.211
Ni1 Ni 0.000 0.000 0.362
```

Principal peaks in the range 2θ = 15–90°, by angle:
| Position (°2θ) | intensity | index |
| --- | --- | --- |
| 15.18 | 20 | 0 0 4 |
| 40.24 | 51 | 1 0 5 |
| 44.68 | 100 | 1 0 7 |
| 46.70 | 12 | 0 0 12 |
| 50.52 | 35 | 1 1 0 |
| 51.17 | 14 | 1 1 2 |
| 71.24 | 12 | 1 1 12 |
| 77.98 | 15 | 1 1 14 |